This entry pairs a crystal structure of Pr2Nd6Sc3 with its computed PXRD pattern. Radiation: Cu Ka. Structure: the PBE geometry in Alexandria.
No peak broadening, texture or thermal motion is included.

Most intense lines, 2θ = 5–70°, most intense first:
two_theta  I/Imax  (hkl)
30.6  100  1 2 2
30.8  99  1 0 3
60.8  35  3 1 3
35.4  34  0 2 -1
35.6  34  2 1 0
35.7  32  0 1 5
51.0  23  2 -1 1
60.9  20  3 2 -3
60.5  14  1 4 1
51.1  14  2 3 -1

Structural model:
```
data_Pr2Nd6Sc3
_space_group_name_H-M_alt 'P -1'
_space_group_IT_number 2
_cell_length_a 5.0494
_cell_length_b 6.2147
_cell_length_c 12.7971
_cell_angle_alpha 75.98
_cell_angle_beta 89.94
_cell_angle_gamma 66.06
loop_
_space_group_symop_operation_xyz
'x,y,z'
'-x,-y,-z'
loop_
_atom_site_label
_atom_site_type_symbol
_atom_site_fract_x
_atom_site_fract_y
_atom_site_fract_z
Pr1 Pr 0.1798 0.1412 0.2794
Nd1 Nd 0.0944 0.3104 0.6284
Nd2 Nd 0.2754 0.9503 0.9106
Nd3 Nd 0.4566 0.5863 0.1839
Sc1 Sc 0.0000 0.5000 0.0000
Sc2 Sc 0.3642 0.7716 0.5430
```

This entry pairs a crystal structure of LaTi3Cl with its computed PXRD pattern. Radiation: Cu Ka. Structure: the PBE geometry in Alexandria.
No peak broadening, texture or thermal motion is included.

Most intense lines, 2θ = 5–70°, most intense first:
two_theta  I/Imax  (hkl)
33.0  100  1 1 1
38.2  82  2 0 0
26.8  68  1 1 0
55.2  53  2 2 0
65.8  38  3 1 1
47.3  28  2 1 1
69.1  17  2 2 2
62.4  12  3 1 0
18.9  12  1 0 0
43.0  8  2 1 0

Structural model:
```
data_LaTi3Cl
_space_group_name_H-M_alt 'P m -3 m'
_space_group_IT_number 221
_space_group_name_Hall '-P 4 2 3'
_cell_length_a 4.7068
_cell_length_b 4.7068
_cell_length_c 4.7068
_cell_angle_alpha 90.00
_cell_angle_beta 90.00
_cell_angle_gamma 90.00
loop_
_atom_site_label
_atom_site_type_symbol
_atom_site_fract_x
_atom_site_fract_y
_atom_site_fract_z
La1 La 0.0000 0.0000 0.0000
Ti1 Ti 0.0000 0.5000 0.5000
Cl1 Cl 0.5000 0.5000 0.5000
```

This entry pairs a crystal structure of K2Rb6S with its computed PXRD pattern. Radiation: Cu Ka. Structure: the PBE geometry in Alexandria.
No peak broadening, texture or thermal motion is included.

Most intense lines, 2θ = 5–70°, most intense first:
two_theta  I/Imax  (hkl)
21.7  100  0 2 1
27.8  57  2 0 5
21.2  45  0 0 6
32.9  39  0 2 7
37.5  34  2 2 0
43.4  33  2 2 6
22.5  30  2 0 2
11.2  29  1 0 1
25.7  25  0 2 4
58.4  17  2 2 12

Structural model:
```
data_K2Rb6S
_space_group_name_H-M_alt 'R 3 m'
_space_group_IT_number 160
_space_group_name_Hall 'R 3 -2"'
_cell_length_a 9.6033
_cell_length_b 9.6033
_cell_length_c 25.1776
_cell_angle_alpha 90.00
_cell_angle_beta 90.00
_cell_angle_gamma 120.00
loop_
_atom_site_label
_atom_site_type_symbol
_atom_site_fract_x
_atom_site_fract_y
_atom_site_fract_z
K1 K 0.0000 0.0000 0.0000
K2 K 0.0000 0.0000 0.1817
Rb1 Rb 0.1807 0.3614 0.3303
Rb2 Rb 0.1811 0.3622 0.4927
S1 S 0.0000 0.0000 0.7443
```

This entry pairs a crystal structure of LiPm4 with its computed PXRD pattern. Radiation: Cu Ka. Structure: the PBE geometry in Alexandria.
No peak broadening, texture or thermal motion is included.

Most intense lines, 2θ = 5–70°, most intense first:
two_theta  I/Imax  (hkl)
28.1  100  1 1 1
32.6  53  2 0 0
55.5  45  3 1 1
46.8  39  2 2 0
58.2  13  2 2 2
68.3  6  4 0 0

Structural model:
```
data_LiPm4
_space_group_name_H-M_alt 'P m -3 m'
_space_group_IT_number 221
_space_group_name_Hall '-P 4 2 3'
_cell_length_a 5.4914
_cell_length_b 5.4914
_cell_length_c 5.4914
_cell_angle_alpha 90.00
_cell_angle_beta 90.00
_cell_angle_gamma 90.00
loop_
_atom_site_label
_atom_site_type_symbol
_atom_site_fract_x
_atom_site_fract_y
_atom_site_fract_z
Li1 Li 0.0000 0.0000 0.0000
Pm1 Pm 0.0000 0.0000 0.5000
Pm2 Pm 0.5000 0.5000 0.5000
```

This entry pairs a crystal structure of Er2Ge3 with its computed PXRD pattern. Radiation: Cu Ka. Structure: the PBE geometry in Alexandria.
No peak broadening, texture or thermal motion is included.

Most intense lines, 2θ = 5–70°, most intense first:
two_theta  I/Imax  (hkl)
35.2  100  2 1 1
32.9  43  2 0 1
39.3  27  3 1 0
56.9  18  4 1 1
43.9  18  0 0 2
60.4  15  3 1 2
27.5  13  2 1 0
52.0  13  4 1 0
58.5  10  3 3 1
35.0  9  2 2 0

Structural model:
```
data_Er2Ge3
_space_group_name_H-M_alt 'P 4/m b m'
_space_group_IT_number 127
_space_group_name_Hall '-P 4 2ab'
_cell_length_a 7.2489
_cell_length_b 7.2489
_cell_length_c 4.1213
_cell_angle_alpha 90.00
_cell_angle_beta 90.00
_cell_angle_gamma 90.00
loop_
_atom_site_label
_atom_site_type_symbol
_atom_site_fract_x
_atom_site_fract_y
_atom_site_fract_z
Er1 Er 0.1789 0.3211 0.0000
Ge1 Ge 0.0000 0.0000 0.5000
Ge2 Ge 0.1237 0.6237 0.5000
```

This entry pairs a crystal structure of TbTm2NpAs4 with its computed PXRD pattern. Radiation: Cu Ka. Structure: the PBE geometry in Alexandria.
No peak broadening, texture or thermal motion is included.

Most intense lines, 2θ = 5–70°, most intense first:
two_theta  I/Imax  (hkl)
30.9  100  1 1 1
44.3  38  2 0 2
44.3  37  0 2 0
26.7  30  2 0 0
54.9  13  4 0 0
55.0  13  2 2 -2
64.4  12  2 2 2
52.4  9  3 1 1
52.5  6  2 2 0
13.2  2  0 0 1

Structural model:
```
data_TbTm2NpAs4
_space_group_name_H-M_alt 'P 1 2/m 1'
_space_group_IT_number 10
_cell_length_a 7.0793
_cell_length_b 4.0866
_cell_length_c 7.0883
_cell_angle_alpha 90.00
_cell_angle_beta 109.34
_cell_angle_gamma 90.00
loop_
_space_group_symop_operation_xyz
'x,y,z'
'-x,-y,-z'
'-x,y,-z'
'x,-y,z'
loop_
_atom_site_label
_atom_site_type_symbol
_atom_site_fract_x
_atom_site_fract_y
_atom_site_fract_z
Tb1 Tb 0.0000 0.0000 0.0000
Tm1 Tm 0.5000 0.0000 0.5000
Tm2 Tm 0.5000 0.5000 0.0000
Np1 Np 0.0000 0.5000 0.5000
As1 As 0.2528 0.0000 0.7495
As2 As 0.2528 0.5000 0.2538
```

This entry pairs a crystal structure of PAuS2 with its computed PXRD pattern. Radiation: Cu Ka. Structure: the PBE geometry in Alexandria.
No peak broadening, texture or thermal motion is included.

Most intense lines, 2θ = 5–70°, most intense first:
two_theta  I/Imax  (hkl)
14.7  100  0 0 1
32.1  50  1 1 -1
27.5  35  0 1 1
20.5  24  0 1 0
25.5  20  1 0 -1
29.6  20  0 0 2
33.8  18  1 1 0
23.0  17  0 1 -1
50.8  16  -1 2 1
33.1  13  1 0 1

Structural model:
```
data_PAuS2
_space_group_name_H-M_alt 'P 1'
_space_group_IT_number 1
_cell_length_a 3.6467
_cell_length_b 4.4001
_cell_length_c 6.3962
_cell_angle_alpha 100.12
_cell_angle_beta 106.33
_cell_angle_gamma 90.00
loop_
_space_group_symop_operation_xyz
'x,y,z'
loop_
_atom_site_label
_atom_site_type_symbol
_atom_site_fract_x
_atom_site_fract_y
_atom_site_fract_z
P1 P 0.0000 0.0000 0.0000
Au1 Au 0.5567 0.7095 0.1151
S1 S 0.1245 0.4034 0.2528
S2 S 0.8514 0.0770 0.6984
```

This entry pairs a crystal structure of KAg3Sn6 with its computed PXRD pattern. Radiation: Cu Ka. Structure: the PBE geometry in Alexandria.
No peak broadening, texture or thermal motion is included.

Most intense lines, 2θ = 5–70°, most intense first:
two_theta  I/Imax  (hkl)
37.8  100  0 3 1
33.7  91  0 1 3
33.2  75  2 1 1
31.0  59  1 2 1
39.7  58  1 1 -4
32.7  57  3 0 -2
34.5  50  2 2 0
39.3  45  2 0 2
12.2  45  1 0 0
31.6  39  2 1 -3

Structural model:
```
data_KAg3Sn6
_space_group_name_H-M_alt 'P 1 21/c 1'
_space_group_IT_number 14
_cell_length_a 8.2714
_cell_length_b 7.4300
_cell_length_c 9.7275
_cell_angle_alpha 90.00
_cell_angle_beta 118.32
_cell_angle_gamma 90.00
loop_
_space_group_symop_operation_xyz
'x,y,z'
'-x,-y,-z'
'-x,y+1/2,-z+1/2'
'x,-y+1/2,z+1/2'
loop_
_atom_site_label
_atom_site_type_symbol
_atom_site_fract_x
_atom_site_fract_y
_atom_site_fract_z
K1 K 0.0000 0.0000 0.0000
Ag1 Ag 0.2665 0.1878 0.4754
Ag2 Ag 0.5000 0.0000 0.0000
Sn1 Sn 0.1324 0.0606 0.6885
Sn2 Sn 0.2586 0.6911 0.8637
Sn3 Sn 0.4698 0.1267 0.2887
```